[1]
BaCd3Ga3: theoretical X-ray powder pattern (Cu Kα X-rays), based on a DFT-relaxed cell (PBE, Alexandria).

Peak list (6 most intense, 5 to 70 degrees two-theta, low angle first)
2θ/deg, I/Imax
31.0, 54
31.3, 50
31.6, 99
31.8, 100
33.9, 42
36.1, 99

```
BaCd3Ga3
1.0
7.3758 0.0000 0.0000
0.0000 4.9713 0.0000
-0.1168 0.0000 9.3577
Ba Cd Ga
2 6 6
direct
0.2490 0.2500 0.2668 Ba
0.7510 0.7500 0.7332 Ba
0.0401 0.2500 0.9068 Cd
0.2504 0.7500 0.5848 Cd
0.4603 0.2500 0.9039 Cd
0.5397 0.7500 0.0961 Cd
0.7496 0.2500 0.4152 Cd
0.9599 0.7500 0.0932 Cd
0.0581 0.2500 0.6113 Ga
0.2482 0.7500 0.8917 Ga
0.4469 0.2500 0.6082 Ga
0.5531 0.7500 0.3918 Ga
0.7518 0.2500 0.1083 Ga
0.9419 0.7500 0.3887 Ga
```


[2]
NaCaBi2O4: theoretical X-ray powder pattern (Cu Kα X-rays), based on a DFT-relaxed cell (PBE, Alexandria).

Peak list (6 most intense, 5 to 70 degrees two-theta, low angle first)
2θ/deg, I/Imax
18.4, 95
30.0, 86
31.6, 78
34.9, 100
39.8, 57
52.0, 77

```
NaCaBi2O4
1.0
0.0000 4.8207 3.5007
3.7794 0.0000 3.5007
3.7794 4.8207 0.0000
Na Ca Bi O
1 1 2 4
direct
0.0000 0.0000 0.0000 Na
0.5001 0.5001 0.4999 Ca
0.2605 0.2605 0.2395 Bi
0.7605 0.7605 0.7395 Bi
0.0023 0.5064 0.9977 O
0.2154 0.6975 0.3025 O
0.5064 0.0023 0.4936 O
0.6975 0.2154 0.7846 O
```


[3]
DyOsPbO6: theoretical X-ray powder pattern (Cu Kα X-rays), based on a DFT-relaxed cell (PBE, Alexandria).

Peak list (6 most intense, 5 to 70 degrees two-theta, low angle first)
2θ/deg, I/Imax
25.2, 44
29.1, 100
29.4, 58
30.6, 37
31.0, 48
51.6, 62

```
DyOsPbO6
1.0
-3.5552 3.6285 4.9382
3.5552 -3.6285 4.9382
3.5552 3.6285 -4.9382
Dy Os Pb O
2 2 2 12
direct
0.5000 0.0000 0.0000 Dy
0.5000 0.5000 0.5000 Dy
0.0000 0.0000 0.0000 Os
0.5000 0.0000 0.5000 Os
0.1304 0.3804 0.7500 Pb
0.8696 0.6196 0.2500 Pb
0.0804 0.3144 0.1407 O
0.0804 0.9396 0.7659 O
0.3263 0.0604 0.6407 O
0.3263 0.6856 0.2659 O
0.3328 0.0828 0.2500 O
0.3642 0.6142 0.7500 O
0.6358 0.3858 0.2500 O
0.6672 0.9172 0.7500 O
0.6737 0.3144 0.7341 O
0.6737 0.9396 0.3593 O
0.9196 0.0604 0.2341 O
0.9196 0.6856 0.8593 O
```


[4]
Cs3As: theoretical X-ray powder pattern (Cu Kα X-rays), based on a DFT-relaxed cell (PBE, Alexandria).

Peak list (6 most intense, 5 to 70 degrees two-theta, low angle first)
2θ/deg, I/Imax
22.4, 32
24.3, 24
28.0, 100
28.5, 85
40.4, 26
49.8, 27

```
Cs3As
1.0
11.0422 0.0000 0.0000
-5.5211 9.5629 0.0000
0.0000 0.0000 11.4015
Cs As
18 6
direct
0.0000 0.0000 0.2372 Cs
0.0000 0.0000 0.7372 Cs
0.0000 0.2879 0.0000 Cs
0.0000 0.3725 0.3346 Cs
0.0000 0.6275 0.8346 Cs
0.0000 0.7121 0.5000 Cs
0.2879 0.0000 0.0000 Cs
0.2879 0.2879 0.5000 Cs
0.3333 0.6667 0.1246 Cs
0.3333 0.6667 0.6246 Cs
0.3725 0.0000 0.3346 Cs
0.3725 0.3725 0.8346 Cs
0.6275 0.0000 0.8346 Cs
0.6275 0.6275 0.3346 Cs
0.6667 0.3333 0.1246 Cs
0.6667 0.3333 0.6246 Cs
0.7121 0.0000 0.5000 Cs
0.7121 0.7121 0.0000 Cs
0.0000 0.3273 0.6668 As
0.0000 0.6727 0.1668 As
0.3273 0.0000 0.6668 As
0.3273 0.3273 0.1668 As
0.6727 0.0000 0.1668 As
0.6727 0.6727 0.6668 As
```


[5]
Ac8Si3PSe4: theoretical X-ray powder pattern (Cu Kα X-rays), based on a DFT-relaxed cell (PBE, Alexandria).

Peak list (6 most intense, 5 to 70 degrees two-theta, low angle first)
2θ/deg, I/Imax
24.0, 67
27.8, 100
39.8, 77
47.0, 35
49.2, 28
65.0, 36

```
Ac8Si3PSe4
1.0
4.5325 2.6169 7.4149
-4.5325 2.6169 7.4149
0.0000 -5.2337 7.4149
Ac Si P Se
8 3 1 4
direct
0.2451 0.7449 0.7449 Ac
0.2459 0.2459 0.2459 Ac
0.2551 0.2551 0.7549 Ac
0.2551 0.7549 0.2551 Ac
0.7449 0.2451 0.7449 Ac
0.7449 0.7449 0.2451 Ac
0.7541 0.7541 0.7541 Ac
0.7549 0.2551 0.2551 Ac
0.0000 0.0000 0.5000 Si
0.0000 0.5000 0.0000 Si
0.5000 0.0000 0.0000 Si
0.5000 0.5000 0.5000 P
0.0000 0.0000 0.0000 Se
0.0000 0.5000 0.5000 Se
0.5000 0.0000 0.5000 Se
0.5000 0.5000 0.0000 Se
```


[6]
TbHo5Tm7: theoretical X-ray powder pattern (Cu Kα X-rays), based on a DFT-relaxed cell (PBE, Alexandria).

Peak list (6 most intense, 5 to 70 degrees two-theta, low angle first)
2θ/deg, I/Imax
31.3, 46
31.5, 72
31.6, 47
32.1, 97
35.4, 100
58.6, 38

```
TbHo5Tm7
1.0
-3.3034 5.4932 5.6863
3.3034 -5.4932 5.6863
3.3034 5.4932 -5.6863
Tb Ho Tm
1 5 7
direct
0.0000 0.0000 0.0000 Tb
0.1961 0.6961 0.5000 Ho
0.4239 0.4294 0.4592 Ho
0.4239 0.9648 0.9945 Ho
0.9703 0.4294 0.0055 Ho
0.9703 0.9648 0.5408 Ho
0.1165 0.4462 0.6703 Tm
0.2784 0.9473 0.3311 Tm
0.3877 0.3877 0.0000 Tm
0.6162 0.9473 0.6689 Tm
0.6937 0.6937 0.0000 Tm
0.6973 0.1973 0.5000 Tm
0.7759 0.4462 0.3297 Tm
```


[7]
Nd2Mg5: theoretical X-ray powder pattern (Cu Kα X-rays), based on a DFT-relaxed cell (PBE, Alexandria).

Peak list (6 most intense, 5 to 70 degrees two-theta, low angle first)
2θ/deg, I/Imax
21.2, 100
24.7, 21
25.1, 25
34.5, 35
34.8, 40
35.5, 43

```
Nd2Mg5
1.0
-3.7506 7.2013 3.5429
3.7506 -7.2013 3.5429
3.7506 7.2013 -3.5429
Nd Mg
4 10
direct
0.1069 0.1983 0.3053 Nd
0.3931 0.6983 0.0914 Nd
0.6069 0.3017 0.9086 Nd
0.8931 0.8017 0.6947 Nd
0.0161 0.7500 0.2661 Mg
0.1285 0.7527 0.8812 Mg
0.2500 0.7500 0.5000 Mg
0.3715 0.2527 0.6242 Mg
0.4839 0.7500 0.7339 Mg
0.5161 0.2500 0.2661 Mg
0.6285 0.7473 0.3758 Mg
0.7500 0.2500 0.5000 Mg
0.8715 0.2473 0.1188 Mg
0.9839 0.2500 0.7339 Mg
```


Repeat the second record exactly.
NaCaBi2O4: theoretical X-ray powder pattern (Cu Kα X-rays), based on a DFT-relaxed cell (PBE, Alexandria).

Peak list (6 most intense, 5 to 70 degrees two-theta, low angle first)
2θ/deg, I/Imax
18.4, 95
30.0, 86
31.6, 78
34.9, 100
39.8, 57
52.0, 77

```
NaCaBi2O4
1.0
0.0000 4.8207 3.5007
3.7794 0.0000 3.5007
3.7794 4.8207 0.0000
Na Ca Bi O
1 1 2 4
direct
0.0000 0.0000 0.0000 Na
0.5001 0.5001 0.4999 Ca
0.2605 0.2605 0.2395 Bi
0.7605 0.7605 0.7395 Bi
0.0023 0.5064 0.9977 O
0.2154 0.6975 0.3025 O
0.5064 0.0023 0.4936 O
0.6975 0.2154 0.7846 O
```